This entry pairs a crystal structure of MgSc4Fe4O12 with its computed powder XRD pattern. Radiation: a wavelength of 1.5418 Å. Structure: a cell relaxed with GGA+U.

Principal peaks in the range 2θ from 10° to 80°, in order of rising 2θ:
Position (°2θ)	intensity	hkl
31.22	100	-1 1 2
31.83	43	1 -1 2
32.84	94	1 1 2
38.86	20	1 1 -3
39.88	21	1 -1 3
40.03	28	2 1 -1
48.07	23	2 -2 0
50.02	22	2 2 -1
55.20	21	0 2 4
57.31	24	2 0 4

Crystal structure
```
data_MgSc4Fe4O12
_cell_length_a 5.144
_cell_length_b 5.451
_cell_length_c 8.582
_cell_angle_alpha 91.36
_cell_angle_beta 92.73
_cell_angle_gamma 91.39
_symmetry_space_group_name_H-M 'P 1'
_symmetry_Int_Tables_number 1
loop_
_symmetry_equiv_pos_as_xyz
'x,y,z'
loop_
_atom_site_label
_atom_site_fract_x
_atom_site_fract_y
_atom_site_fract_z
Mg1 0.000 0.000 0.000
Sc1 0.348 0.773 0.379
Sc2 0.481 0.933 0.847
Sc3 0.861 0.461 0.856
Sc4 0.954 0.271 0.368
Fe1 0.369 0.356 0.649
Fe2 0.416 0.340 0.125
Fe3 0.816 0.729 0.226
Fe4 0.908 0.864 0.613
O1 0.105 0.785 0.824
O2 0.112 0.559 0.531
O3 0.129 0.518 0.219
O4 0.169 0.013 0.213
O5 0.200 0.067 0.537
O6 0.219 0.270 0.860
O7 0.609 0.461 0.343
O8 0.610 0.651 0.693
O9 0.689 0.724 0.004
O10 0.694 0.160 0.701
O11 0.704 0.212 0.008
O12 0.722 0.943 0.406
```